Record 1
This entry pairs a crystal structure of CeYMg6 with its calculated powder X-ray diffraction pattern. Radiation: copper Kα. Structure: a cell relaxed with GGA-PBE.
Neutral-atom scattering factors, no anomalous dispersion.

Main lines, by intensity (10° ≤ 2θ ≤ 80°):
two_theta	intensity
35.20	100
15.32	55
22.70	48
35.34	47
16.64	42
30.79	35
33.65	35
61.22	28
46.26	22
30.95	19

Atomic structure:
Lattice parameters (Å, degrees): 5.3264 6.6836 6.6836 60.32 90.00 90.00
Sites, in units of the cell vectors:
Ce (0.0000, 0.0000, 0.0000)
Y (0.0000, 0.5013, 0.5013)
Mg (0.0000, 0.4982, 0.9955)
Mg (0.0000, 0.9955, 0.4982)
Mg (0.5000, 0.3272, 0.3272)
Mg (0.5000, 0.3321, 0.8326)
Mg (0.5000, 0.8267, 0.8267)
Mg (0.5000, 0.8326, 0.3321)



Record 2
This entry pairs a crystal structure of LuSiRu with its calculated powder X-ray diffraction pattern. Radiation: copper Kα. Structure: a cell relaxed with GGA-PBE.
Neutral-atom scattering factors, no anomalous dispersion.

Main lines, by intensity (10° ≤ 2θ ≤ 80°):
two_theta	intensity
35.90	100
35.39	85
42.38	51
24.34	38
36.40	32
40.27	31
70.68	30
43.71	30
59.90	28
41.49	28

Atomic structure:
Lattice parameters (Å, degrees): 6.8594 4.2635 7.1082 90.00 90.00 90.00
Sites, in units of the cell vectors:
Lu (0.0095, 0.2500, 0.1887)
Lu (0.4905, 0.7500, 0.6887)
Lu (0.5095, 0.2500, 0.3113)
Lu (0.9905, 0.7500, 0.8113)
Si (0.2005, 0.2500, 0.6063)
Si (0.2995, 0.7500, 0.1063)
Si (0.7005, 0.2500, 0.8937)
Si (0.7995, 0.7500, 0.3937)
Ru (0.1556, 0.7500, 0.4346)
Ru (0.3444, 0.2500, 0.9346)
Ru (0.6556, 0.7500, 0.0654)
Ru (0.8444, 0.2500, 0.5654)



Record 3
This entry pairs a crystal structure of Cs2PtS6O18F6 with its calculated powder X-ray diffraction pattern. Radiation: copper Kα. Structure: a cell relaxed with GGA-PBE.
Neutral-atom scattering factors, no anomalous dispersion.

Main lines, by intensity (10° ≤ 2θ ≤ 80°):
two_theta	intensity
24.66	100
15.64	99
31.29	48
18.95	43
37.09	37
25.03	33
31.58	26
39.18	23
38.44	19
41.74	18

Atomic structure:
Lattice parameters (Å, degrees): 9.3670 9.3670 7.9169 90.00 90.00 120.00
Sites, in units of the cell vectors:
Cs (0.3333, 0.6667, 0.3367)
Cs (0.6667, 0.3333, 0.6633)
Pt (0.0000, 0.0000, 0.0000)
S (0.1475, 0.3450, 0.7753)
S (0.1975, 0.8525, 0.7753)
S (0.3450, 0.1475, 0.2247)
S (0.6550, 0.8025, 0.7753)
S (0.8025, 0.6550, 0.2247)
S (0.8525, 0.1975, 0.2247)
O (0.0085, 0.3390, 0.2628)
O (0.0473, 0.8608, 0.8325)
O (0.1392, 0.1865, 0.8325)
O (0.1410, 0.7174, 0.6596)
O (0.1865, 0.1392, 0.1675)
O (0.2826, 0.4235, 0.6596)
O (0.3305, 0.9915, 0.2628)
O (0.3390, 0.0085, 0.7372)
O (0.4235, 0.2826, 0.3404)
O (0.5765, 0.8590, 0.6596)
O (0.6610, 0.6695, 0.2628)
O (0.6695, 0.6610, 0.7372)
O (0.7174, 0.1410, 0.3404)
O (0.8135, 0.9527, 0.8325)
O (0.8590, 0.5765, 0.3404)
O (0.8608, 0.0473, 0.1675)
O (0.9527, 0.8135, 0.1675)
O (0.9915, 0.3305, 0.7372)
F (0.2099, 0.4531, 0.9451)
F (0.2432, 0.7901, 0.9451)
F (0.4531, 0.2099, 0.0549)
F (0.5469, 0.7568, 0.9451)
F (0.7568, 0.5469, 0.0549)
F (0.7901, 0.2432, 0.0549)



Record 4
This entry pairs a crystal structure of Na2Bi4O7 with its calculated powder X-ray diffraction pattern. Radiation: copper Kα. Structure: a cell relaxed with GGA-PBE.
Neutral-atom scattering factors, no anomalous dispersion.

Main lines, by intensity (10° ≤ 2θ ≤ 80°):
two_theta	intensity
28.33	100
27.35	65
19.70	49
17.87	42
30.24	38
43.07	37
29.95	32
20.38	32
23.27	26
52.78	23

Atomic structure:
Lattice parameters (Å, degrees): 10.5215 10.5215 5.9750 105.06 105.06 114.84
Sites, in units of the cell vectors:
Na (0.0078, 0.8336, 0.9228)
Na (0.1664, 0.9922, 0.5772)
Na (0.8336, 0.0078, 0.4228)
Na (0.9922, 0.1664, 0.0772)
Bi (0.1060, 0.6205, 0.3256)
Bi (0.2318, 0.3720, 0.7471)
Bi (0.3720, 0.2318, 0.2471)
Bi (0.3795, 0.8940, 0.1744)
Bi (0.6205, 0.1060, 0.8256)
Bi (0.6280, 0.7682, 0.7529)
Bi (0.7682, 0.6280, 0.2529)
Bi (0.8940, 0.3795, 0.6744)
O (0.0076, 0.2800, 0.4774)
O (0.1269, 0.5042, 0.9603)
O (0.1795, 0.8205, 0.2500)
O (0.1868, 0.2194, 0.9227)
O (0.2194, 0.1868, 0.4227)
O (0.2800, 0.0076, 0.9774)
O (0.4958, 0.8731, 0.5397)
O (0.5042, 0.1269, 0.4603)
O (0.7200, 0.9924, 0.0226)
O (0.7806, 0.8132, 0.5773)
O (0.8132, 0.7806, 0.0773)
O (0.8205, 0.1795, 0.7500)
O (0.8731, 0.4958, 0.0397)
O (0.9924, 0.7200, 0.5226)